(1)
For Li4In2N, a DFT-relaxed cell (PBE, Alexandria) gives the computed XRD peak list in this record (Cu Kα).

```
data_Li4In2N
_space_group_name_H-M_alt 'I 4/m m m'
_space_group_IT_number 139
_space_group_name_Hall '-I 4 2'
_cell_length_a 3.891
_cell_length_b 3.891
_cell_length_c 17.014
_cell_angle_alpha 90.00
_cell_angle_beta 90.00
_cell_angle_gamma 90.00
loop_
_atom_site_label
_atom_site_fract_x
_atom_site_fract_y
_atom_site_fract_z
Li1 0.000 0.000 0.113
Li2 0.000 0.500 0.000
In1 0.000 0.000 0.297
N1 0.000 0.000 0.000
```

Main lines, low angle first (15 to 90 degrees two-theta):
d/Å, intensity
3.209, 100.0
2.752, 56.8
2.618, 58.0
2.562, 79.0
2.061, 39.2
1.549, 33.2

---

(2)
For Li2In2N, a DFT-relaxed cell (PBE, Alexandria) gives the computed XRD peak list in this record (Cu Kα).

```
data_Li2In2N
_space_group_name_H-M_alt 'P 4/m b m'
_space_group_IT_number 127
_space_group_name_Hall '-P 4 2ab'
_cell_length_a 5.790
_cell_length_b 5.790
_cell_length_c 5.489
_cell_angle_alpha 90.00
_cell_angle_beta 90.00
_cell_angle_gamma 90.00
loop_
_atom_site_label
_atom_site_fract_x
_atom_site_fract_y
_atom_site_fract_z
Li1 0.211 0.289 0.000
In1 0.187 0.687 0.500
N1 0.000 0.000 0.000
```

Main lines, low angle first (15 to 90 degrees two-theta):
d/Å, intensity
5.489, 100.0
2.895, 24.9
2.745, 28.1
2.589, 31.7
2.561, 39.9
2.342, 53.5

---

(3)
For LiPa4InN8, a DFT-relaxed cell (PBE, Alexandria) gives the computed XRD peak list in this record (Cu Kα).

```
data_LiPa4InN8
_space_group_name_H-M_alt 'R 3 m'
_space_group_IT_number 160
_space_group_name_Hall 'R 3 -2"'
_cell_length_a 7.1248
_cell_length_b 7.1248
_cell_length_c 14.5836
_cell_angle_alpha 90.00
_cell_angle_beta 90.00
_cell_angle_gamma 120.00
loop_
_atom_site_label
_atom_site_fract_x
_atom_site_fract_y
_atom_site_fract_z
Li1 0.0000 0.0000 0.0000
Pa1 0.0000 0.0000 0.5983
Pa2 0.0032 0.5016 0.5078
In1 0.0000 0.0000 0.3868
N1 0.0000 0.0000 0.2443
N2 0.0000 0.0000 0.7601
N3 0.1738 0.3475 0.1224
N4 0.1818 0.3636 0.5929
```

Main lines, low angle first (15 to 90 degrees two-theta):
d/Å, intensity
4.861, 44.7
3.139, 31.4
3.018, 100.0
2.873, 26.7
2.841, 44.6
1.781, 31.3

---

(4)
For Na5LiIn6, a DFT-relaxed cell (PBE, Alexandria) gives the computed XRD peak list in this record (Cu Kα).

```
data_Na5LiIn6
_space_group_name_H-M_alt 'C 1 2/m 1'
_space_group_IT_number 12
_cell_length_a 4.380
_cell_length_b 14.482
_cell_length_c 9.852
_cell_angle_alpha 90.00
_cell_angle_beta 90.38
_cell_angle_gamma 90.00
loop_
_space_group_symop_operation_xyz
'x,y,z'
'-x,-y,-z'
'-x,y,-z'
'x,-y,z'
'x+1/2,y+1/2,z'
'-x+1/2,-y+1/2,-z'
'-x+1/2,y+1/2,-z'
'x+1/2,-y+1/2,z'
loop_
_atom_site_label
_atom_site_fract_x
_atom_site_fract_y
_atom_site_fract_z
Na1 0.000 0.000 0.000
Na2 0.000 0.333 0.000
Na3 0.000 0.335 0.500
Li1 0.000 0.000 0.500
In1 0.000 0.500 0.264
In2 0.001 0.160 0.746
```

Main lines, low angle first (15 to 90 degrees two-theta):
d/Å, intensity
4.926, 100.0
3.244, 72.7
2.715, 94.2
2.703, 93.0
2.463, 34.9
2.414, 34.3